Structure and calculated powder diffraction line list of K2BeVSe4 (the PBE geometry in Alexandria; a wavelength of 1.5418 Å).
Lines closer than 0.1° are merged.

Structural model:
```
K2BeVSe4
1.0
0.000 6.782 11.968
2.819 0.000 11.968
2.819 6.782 0.000
K Be V Se
4 2 2 8
Cartesian
2.115 5.086 1.328 K
3.524 8.477 7.312 K
2.115 5.086 16.625 K
3.524 8.477 22.609 K
0.705 1.695 2.992 Be
4.934 11.868 20.945 Be
2.115 5.086 8.976 V
3.524 8.477 14.961 V
2.046 2.988 4.276 Se
3.593 6.379 10.260 Se
2.184 7.185 4.276 Se
2.184 2.988 13.677 Se
3.455 10.576 10.260 Se
3.455 6.379 19.661 Se
2.046 7.185 13.677 Se
3.593 10.576 19.661 Se
```

Most intense lines, 2θ = 10–80°, by intensity:
27.65 deg, 3.226 Å, I 100; 31.50 deg, 2.840 Å, I 51; 15.01 deg, 5.900 Å, I 27; 29.86 deg, 2.992 Å, I 25; 32.63 deg, 2.744 Å, I 25; 36.60 deg, 2.455 Å, I 22; 56.38 deg, 1.632 Å, I 21; 25.27 deg, 3.524 Å, I 20; 49.98 deg, 1.825 Å, I 20; 14.80 deg, 5.984 Å, I 20

=====

Structure and calculated powder diffraction line list of K4BeSi (the PBE geometry in Alexandria; a wavelength of 1.5418 Å).
Lines closer than 0.1° are merged.

Structural model:
```
K4BeSi
1.0
0.000 4.863 4.863
4.863 0.000 4.863
4.863 4.863 0.000
K Be Si
4 1 1
Cartesian
1.211 1.211 1.211 K
3.652 3.652 1.211 K
3.652 1.211 3.652 K
1.211 3.652 3.652 K
4.863 4.863 4.863 Be
7.294 7.294 7.294 Si
```

Most intense lines, 2θ = 10–80°, by intensity:
30.49 deg, 2.932 Å, I 100; 31.88 deg, 2.807 Å, I 69; 15.78 deg, 5.615 Å, I 51; 48.65 deg, 1.872 Å, I 31; 53.29 deg, 1.719 Å, I 29; 63.45 deg, 1.466 Å, I 22; 36.97 deg, 2.431 Å, I 20; 75.02 deg, 1.266 Å, I 18; 40.43 deg, 2.231 Å, I 13; 62.64 deg, 1.483 Å, I 10

=====

Structure and calculated powder diffraction line list of K2BeSn2 (the PBE geometry in Alexandria; a wavelength of 1.5418 Å).
Lines closer than 0.1° are merged.

Structural model:
```
K2BeSn2
1.0
6.945 0.000 0.000
0.000 6.945 0.000
0.000 0.000 6.054
K Be Sn
4 2 4
Cartesian
1.186 2.287 0.000 K
2.287 5.759 0.000 K
4.659 1.186 0.000 K
5.759 4.659 0.000 K
0.000 0.000 3.027 Be
3.473 3.473 3.027 Be
1.059 4.532 3.027 Sn
2.413 1.059 3.027 Sn
4.532 5.886 3.027 Sn
5.886 2.413 3.027 Sn
```

Most intense lines, 2θ = 10–80°, by intensity:
32.40 deg, 2.764 Å, I 100; 14.63 deg, 6.054 Å, I 36; 29.51 deg, 3.027 Å, I 29; 54.21 deg, 1.692 Å, I 23; 28.74 deg, 3.106 Å, I 17; 18.06 deg, 4.911 Å, I 14; 51.40 deg, 1.778 Å, I 14; 41.66 deg, 2.168 Å, I 14; 41.10 deg, 2.196 Å, I 14; 56.71 deg, 1.623 Å, I 13

=====

Structure and calculated powder diffraction line list of KSr4Be (the PBE geometry in Alexandria; a wavelength of 1.5418 Å).
Lines closer than 0.1° are merged.

Structural model:
```
KSr4Be
1.0
0.000 5.492 5.492
5.492 0.000 5.492
5.492 5.492 0.000
K Sr Be
1 4 1
Cartesian
0.000 0.000 0.000 K
6.860 4.125 4.125 Sr
4.125 6.860 4.125 Sr
4.125 4.125 6.860 Sr
6.860 6.860 6.860 Sr
2.746 2.746 2.746 Be
```

Most intense lines, 2θ = 10–80°, by intensity:
26.92 deg, 3.312 Å, I 100; 28.14 deg, 3.171 Å, I 83; 13.96 deg, 6.342 Å, I 70; 46.78 deg, 1.942 Å, I 38; 42.77 deg, 2.114 Å, I 37; 55.49 deg, 1.656 Å, I 36; 32.61 deg, 2.746 Å, I 32; 65.24 deg, 1.430 Å, I 23; 35.63 deg, 2.520 Å, I 23; 49.06 deg, 1.857 Å, I 18

=====

Structure and calculated powder diffraction line list of K2TaBe (the PBE geometry in Alexandria; a wavelength of 1.5418 Å).
Lines closer than 0.1° are merged.

Structural model:
```
K2TaBe
1.0
3.106 0.000 0.000
0.000 3.576 0.000
-0.160 0.000 10.715
K Ta Be
2 1 1
Cartesian
0.000 0.000 0.000 K
1.384 1.788 4.308 K
1.384 1.788 7.727 Ta
2.937 0.000 6.916 Be
```

Most intense lines, 2θ = 10–80°, by intensity:
24.92 deg, 3.573 Å, I 100; 30.05 deg, 2.973 Å, I 75; 26.27 deg, 3.392 Å, I 63; 38.39 deg, 2.345 Å, I 51; 16.55 deg, 5.357 Å, I 38; 35.52 deg, 2.527 Å, I 37; 42.18 deg, 2.142 Å, I 27; 57.68 deg, 1.598 Å, I 25; 46.57 deg, 1.950 Å, I 25; 46.07 deg, 1.970 Å, I 24

=====

Structure and calculated powder diffraction line list of KBeTe2 (the PBE geometry in Alexandria; a wavelength of 1.5418 Å).
Lines closer than 0.1° are merged.

Structural model:
```
KBeTe2
1.0
-3.322 3.322 6.690
3.322 -3.322 6.690
3.322 3.322 -6.690
K Be Te
2 2 4
Cartesian
0.000 0.000 0.000 K
0.000 3.322 3.345 K
3.322 0.000 3.345 Be
0.000 0.000 6.690 Be
1.661 -0.556 5.017 Te
2.767 1.661 1.672 Te
1.661 3.878 -1.672 Te
0.556 1.661 8.362 Te
```

Most intense lines, 2θ = 10–80°, by intensity:
30.82 deg, 2.901 Å, I 100; 14.89 deg, 5.951 Å, I 68; 23.13 deg, 3.845 Å, I 64; 30.03 deg, 2.976 Å, I 64; 24.03 deg, 3.703 Å, I 57; 36.33 deg, 2.473 Å, I 41; 51.35 deg, 1.779 Å, I 28; 26.65 deg, 3.345 Å, I 25; 43.05 deg, 2.101 Å, I 24; 45.62 deg, 1.989 Å, I 22

=====

Structure and calculated powder diffraction line list of KBeV (the PBE geometry in Alexandria; a wavelength of 1.5418 Å).
Lines closer than 0.1° are merged.

Structural model:
```
KBeV
1.0
3.874 0.000 0.000
1.927 3.362 0.000
0.995 0.548 11.474
K Be V
2 2 2
Cartesian
1.452 0.824 2.020 K
5.344 3.086 9.454 K
1.463 0.833 5.748 Be
5.333 3.077 5.726 Be
3.398 1.955 6.737 V
3.398 1.955 4.737 V
```

Most intense lines, 2θ = 10–80°, by intensity:
28.06 deg, 3.180 Å, I 100; 27.09 deg, 3.291 Å, I 52; 30.17 deg, 2.962 Å, I 52; 47.08 deg, 1.930 Å, I 42; 26.55 deg, 3.357 Å, I 30; 23.26 deg, 3.825 Å, I 27; 40.33 deg, 2.236 Å, I 25; 46.76 deg, 1.943 Å, I 18; 49.19 deg, 1.852 Å, I 17; 39.26 deg, 2.295 Å, I 16

=====

Structure and calculated powder diffraction line list of KBeV (the PBE geometry in Alexandria; a wavelength of 1.5418 Å).
Lines closer than 0.1° are merged.

Structural model:
```
KBeV
1.0
3.878 0.000 0.000
-1.937 3.361 0.000
-1.837 -1.123 11.465
K Be V
2 2 2
Cartesian
0.000 0.000 0.000 K
-0.002 0.001 7.443 K
0.000 0.006 3.724 Be
0.000 2.247 3.723 Be
1.939 1.126 2.723 V
1.939 1.126 4.724 V
```

Most intense lines, 2θ = 10–80°, by intensity:
28.49 deg, 3.133 Å, I 100; 46.84 deg, 1.940 Å, I 83; 29.54 deg, 3.024 Å, I 82; 26.66 deg, 3.344 Å, I 78; 27.04 deg, 3.297 Å, I 73; 28.60 deg, 3.121 Å, I 50; 23.28 deg, 3.822 Å, I 43; 29.69 deg, 3.009 Å, I 38; 39.27 deg, 2.294 Å, I 31; 52.80 deg, 1.734 Å, I 20